Entry 1:
This entry pairs a crystal structure of BaY2Cd9 with its simulated powder X-ray diffraction pattern. Radiation: CuKα. Structure: a DFT-relaxed cell (GGA-PBE, Alexandria).
Peak positions follow from Bragg's law for the DFT cell and can differ from measured ones.

Most intense lines, 10 to 80 degrees two-theta, low angle first:
17.06°, d = 5.197 Å, rel. 13; 29.27°, d = 3.051 Å, rel. 21; 30.12°, d = 2.967 Å, rel. 13; 34.08°, d = 2.631 Å, rel. 27; 34.89°, d = 2.572 Å, rel. 100; 37.48°, d = 2.400 Å, rel. 31; 37.64°, d = 2.390 Å, rel. 26; 55.61°, d = 1.653 Å, rel. 25; 60.71°, d = 1.525 Å, rel. 24; 73.67°, d = 1.286 Å, rel. 20

Crystal structure
```
BaY2Cd9
1.0
3.051 1.761 9.560
-3.051 1.761 9.560
0.000 -3.523 9.560
Ba Y Cd
1 2 9
Cartesian
0.000 0.000 0.000
0.000 0.000 4.213
0.000 0.000 24.467
-1.573 -0.908 12.055
0.000 0.000 9.639
0.000 -1.816 16.625
-1.573 0.908 16.625
0.000 0.000 14.340
1.573 -0.908 12.055
0.000 1.816 12.055
0.000 0.000 19.041
1.573 0.908 16.625
```

=====

Entry 2:
This entry pairs a crystal structure of BaYCd2 with its simulated powder X-ray diffraction pattern. Radiation: CuKα. Structure: a DFT-relaxed cell (GGA-PBE, Alexandria).
Peak positions follow from Bragg's law for the DFT cell and can differ from measured ones.

Most intense lines, 10 to 80 degrees two-theta, low angle first:
31.40°, d = 2.849 Å, rel. 53; 32.04°, d = 2.793 Å, rel. 100; 45.01°, d = 2.014 Å, rel. 19; 46.87°, d = 1.938 Å, rel. 8; 56.31°, d = 1.634 Å, rel. 38; 57.51°, d = 1.603 Å, rel. 18; 67.00°, d = 1.397 Å, rel. 11; 74.48°, d = 1.274 Å, rel. 8; 74.83°, d = 1.269 Å, rel. 8; 77.59°, d = 1.231 Å, rel. 7

Crystal structure
```
BaYCd2
1.0
3.877 0.000 0.000
0.000 5.697 0.000
0.000 0.000 5.698
Ba Y Cd
1 1 2
Cartesian
0.000 0.000 0.000
0.000 2.848 2.806
1.938 0.000 2.854
1.938 2.848 5.622
```

=====

Entry 3:
This entry pairs a crystal structure of BaYCd17 with its simulated powder X-ray diffraction pattern. Radiation: CuKα. Structure: a DFT-relaxed cell (GGA-PBE, Alexandria).
Peak positions follow from Bragg's law for the DFT cell and can differ from measured ones.

Most intense lines, 10 to 80 degrees two-theta, low angle first:
30.31°, d = 2.949 Å, rel. 33; 31.09°, d = 2.876 Å, rel. 26; 35.14°, d = 2.554 Å, rel. 45; 35.25°, d = 2.546 Å, rel. 100; 35.57°, d = 2.524 Å, rel. 30; 35.93°, d = 2.499 Å, rel. 31; 39.55°, d = 2.279 Å, rel. 57; 39.84°, d = 2.263 Å, rel. 16; 63.05°, d = 1.474 Å, rel. 15; 63.67°, d = 1.462 Å, rel. 18

Crystal structure
```
BaYCd17
1.0
5.108 2.949 5.048
-5.108 2.949 5.048
0.000 -5.898 5.048
Ba Y Cd
1 1 17
Cartesian
0.000 0.000 0.000
0.000 0.000 5.095
0.000 -2.543 2.787
-2.203 1.272 2.787
-2.735 -1.579 7.616
0.000 -2.821 7.190
-2.443 1.411 7.190
-1.486 -2.647 10.071
-3.036 0.037 10.071
2.203 1.272 2.787
0.000 0.000 8.440
1.486 -2.647 10.071
-1.550 2.611 10.071
2.735 -1.579 7.616
0.000 3.159 7.616
0.000 0.000 11.438
2.443 1.411 7.190
3.036 0.037 10.071
1.550 2.611 10.071
```

=====

Entry 4:
This entry pairs a crystal structure of BaYCd4 with its simulated powder X-ray diffraction pattern. Radiation: CuKα. Structure: a DFT-relaxed cell (GGA-PBE, Alexandria).
Peak positions follow from Bragg's law for the DFT cell and can differ from measured ones.

Most intense lines, 10 to 80 degrees two-theta, low angle first:
17.67°, d = 5.020 Å, rel. 7; 29.05°, d = 3.074 Å, rel. 25; 34.20°, d = 2.621 Å, rel. 100; 35.78°, d = 2.510 Å, rel. 42; 41.55°, d = 2.174 Å, rel. 5; 51.49°, d = 1.775 Å, rel. 10; 54.87°, d = 1.673 Å, rel. 33; 60.21°, d = 1.537 Å, rel. 29; 71.10°, d = 1.326 Å, rel. 11; 72.05°, d = 1.311 Å, rel. 15

Crystal structure
```
BaYCd4
1.0
0.000 4.347 4.347
4.347 0.000 4.347
4.347 4.347 0.000
Ba Y Cd
1 1 4
Cartesian
0.000 0.000 0.000
2.174 2.174 2.174
5.427 3.268 3.268
3.268 5.427 3.268
3.268 3.268 5.427
5.427 5.427 5.427
```

=====

Entry 5:
This entry pairs a crystal structure of BaZn4Cd with its simulated powder X-ray diffraction pattern. Radiation: CuKα. Structure: a DFT-relaxed cell (GGA-PBE, Alexandria).
Peak positions follow from Bragg's law for the DFT cell and can differ from measured ones.

Most intense lines, 10 to 80 degrees two-theta, low angle first:
23.21°, d = 3.832 Å, rel. 27; 29.06°, d = 3.073 Å, rel. 100; 30.37°, d = 2.944 Å, rel. 28; 32.33°, d = 2.769 Å, rel. 25; 34.88°, d = 2.572 Å, rel. 25; 35.13°, d = 2.555 Å, rel. 24; 39.38°, d = 2.288 Å, rel. 31; 44.74°, d = 2.025 Å, rel. 36; 49.18°, d = 1.853 Å, rel. 24; 50.34°, d = 1.813 Å, rel. 23

Crystal structure
```
BaZn4Cd
1.0
-5.144 5.144 5.745
5.144 -5.144 5.745
5.144 5.144 -5.745
Ba Zn Cd
4 16 4
Cartesian
0.000 0.000 2.176
5.144 0.000 2.872
0.000 5.144 2.872
0.000 0.000 9.313
3.010 1.194 0.000
7.279 1.194 0.000
3.021 3.021 -1.846
2.124 -2.124 3.899
1.194 3.010 0.000
3.950 -2.135 5.745
3.021 3.021 1.846
2.124 -2.124 7.590
-2.124 2.124 3.899
2.124 2.124 3.899
1.194 7.279 0.000
3.950 2.135 5.745
-2.124 2.124 7.590
2.124 2.124 7.590
-2.135 3.950 5.745
2.135 3.950 5.745
5.144 3.016 0.000
3.016 5.144 0.000
2.128 0.000 5.745
0.000 2.128 5.745
```

=====

Entry 6:
This entry pairs a crystal structure of Ba12ZnCd6 with its simulated powder X-ray diffraction pattern. Radiation: CuKα. Structure: a DFT-relaxed cell (GGA-PBE, Alexandria).
Peak positions follow from Bragg's law for the DFT cell and can differ from measured ones.

Most intense lines, 10 to 80 degrees two-theta, low angle first:
18.51°, d = 4.794 Å, rel. 55; 21.53°, d = 4.127 Å, rel. 42; 26.22°, d = 3.399 Å, rel. 47; 26.99°, d = 3.303 Å, rel. 75; 30.35°, d = 2.945 Å, rel. 100; 30.91°, d = 2.893 Å, rel. 82; 31.58°, d = 2.833 Å, rel. 24; 43.87°, d = 2.064 Å, rel. 22; 45.18°, d = 2.007 Å, rel. 22; 58.06°, d = 1.589 Å, rel. 26

Crystal structure
```
Ba12ZnCd6
1.0
7.791 4.498 4.684
-7.791 4.498 4.684
0.000 -8.996 4.684
Ba Zn Cd
12 1 6
Cartesian
-7.010 -1.785 7.704
-1.959 -6.964 6.347
-3.024 -0.425 5.442
-5.051 5.178 6.346
1.880 -2.407 5.442
-1.145 -2.831 8.609
1.145 2.831 5.442
-1.880 2.407 8.609
5.051 -5.178 7.704
3.024 0.425 8.609
1.959 6.964 7.704
7.010 1.785 6.347
0.000 0.000 0.000
-1.361 -3.717 5.046
-2.538 3.037 5.046
-3.899 -0.680 9.004
3.899 0.680 5.046
2.538 -3.037 9.004
1.361 3.717 9.004
```